Li2NiPO4F: theoretical XRD peak list (Cu Kα (λ = 1.5418 Å)), based on a cell relaxed with GGA+U.
Lines closer than 0.1° are merged.

Crystal structure
abc: 5.3080 5.3436 7.3796
angles: 107.09 108.19 94.69
Space group P1 (No. 1)
One atom of each set of equivalent atoms:
Li (0.0000, 0.0000, 0.0000) [1 per cell]
Li (0.0602, 0.8610, 0.6364) [1 per cell]
Li (0.3637, 0.3105, 0.9812) [1 per cell]
Li (0.7928, 0.4547, 0.3063) [1 per cell]
Ni (0.5455, 0.8548, 0.6417) [1 per cell]
Ni (0.5550, 0.8695, 0.1588) [1 per cell]
P (0.2208, 0.2366, 0.3952) [1 per cell]
P (0.8968, 0.4966, 0.9174) [1 per cell]
O (0.1899, 0.6154, 0.0660) [1 per cell]
O (0.2231, 0.5358, 0.4971) [1 per cell]
O (0.2949, 0.0904, 0.5493) [1 per cell]
O (0.4031, 0.2034, 0.2614) [1 per cell]
O (0.6995, 0.5290, 0.0379) [1 per cell]
O (0.8293, 0.6580, 0.7703) [1 per cell]
O (0.8878, 0.1947, 0.8133) [1 per cell]
O (0.9224, 0.1190, 0.2413) [1 per cell]
F (0.4049, 0.9497, 0.8846) [1 per cell]
F (0.7071, 0.7858, 0.4224) [1 per cell]

Principal peaks in the range 2θ = 10–90°, by angle:
2θ/deg	I/Imax	index
17.69	49.9	0 1 0
17.92	43.9	1 0 0
22.71	30.1	1 -1 0
26.66	94.9	1 0 -2
26.87	95.4	0 1 -2
27.64	100.0	1 1 0
36.96	39.3	1 -2 0
54.92	26.6	0 3 0

LiNiPO4F: theoretical XRD peak list (Cu Kα (λ = 1.5418 Å)), based on a cell relaxed with GGA+U.
Lines closer than 0.1° are merged.

Crystal structure
abc: 5.2033 5.3210 7.2492
angles: 109.03 105.94 98.65
Space group P-1 (No. 2)
One atom of each set of equivalent atoms:
Li (0.0725, 0.4339, 0.3017) [2 per cell]
Ni (0.0000, 0.0000, 0.5000) [1 per cell]
Ni (0.5000, 0.5000, 0.0000) [1 per cell]
P (0.4484, 0.1161, 0.2616) [2 per cell]
O (0.2329, 0.7822, 0.6224) [2 per cell]
O (0.2996, 0.1682, 0.4242) [2 per cell]
O (0.3493, 0.8155, 0.1064) [2 per cell]
O (0.3507, 0.3148, 0.1554) [2 per cell]
F (0.1323, 0.3307, 0.7662) [2 per cell]

Principal peaks in the range 2θ = 10–90°, by angle:
2θ/deg	I/Imax	index
18.16	48.6	0 1 -1
18.38	31.0	1 0 0
18.78	75.4	1 0 -1
22.29	31.4	1 -1 0
26.67	100.0	1 0 1
26.96	91.1	0 1 1
29.70	86.7	1 1 -2
36.46	54.6	1 -2 1

Rb2LiNiF6: theoretical XRD peak list (Cu Kα (λ = 1.5418 Å)), based on a cell relaxed with GGA+U.
Lines closer than 0.1° are merged.

Crystal structure
abc: 8.2676 8.2676 8.2676
angles: 90.00 90.00 90.00
Space group Fm-3m (No. 225)
One atom of each set of equivalent atoms:
Rb (0.2500, 0.2500, 0.2500) [8 per cell]
Li (0.0000, 0.0000, 0.0000) [4 per cell]
Ni (0.0000, 0.0000, 0.5000) [4 per cell]
F (0.0000, 0.0000, 0.2671) [24 per cell]

Principal peaks in the range 2θ = 10–90°, by angle:
2θ/deg	I/Imax	index
18.59	29.7	1 1 1
30.58	100.0	2 2 0
37.69	42.0	2 2 2
43.80	53.8	4 0 0
54.36	38.3	4 2 2
63.67	30.9	4 4 0
72.28	18.1	6 2 0
88.50	21.6	6 4 2

LiNiRhF6: theoretical XRD peak list (Cu Kα (λ = 1.5418 Å)), based on a cell relaxed with GGA+U.
Lines closer than 0.1° are merged.

Crystal structure
abc: 4.7064 4.7064 9.3192
angles: 90.00 90.00 90.00
Space group P4_2nm (No. 102)
One atom of each set of equivalent atoms:
Li (0.0000, 0.0000, 0.0000) [2 per cell]
Ni (0.0000, 0.0000, 0.6694) [2 per cell]
Rh (0.0000, 0.0000, 0.3333) [2 per cell]
F (0.1939, 0.1939, 0.4995) [4 per cell]
F (0.1960, 0.1960, 0.1679) [4 per cell]
F (0.1975, 0.1975, 0.8344) [4 per cell]

Principal peaks in the range 2θ = 10–90°, by angle:
2θ/deg	I/Imax	index
19.05	25.9	0 0 2
21.15	75.8	1 0 1
26.79	100.0	1 1 0
33.08	25.3	1 1 2
34.60	52.0	1 0 3
44.11	20.8	2 1 1
52.52	68.1	2 1 3
66.80	25.6	3 0 3

LiTiNiF6: theoretical XRD peak list (Cu Kα (λ = 1.5418 Å)), based on a cell relaxed with GGA+U.
Lines closer than 0.1° are merged.

Crystal structure
abc: 8.7618 8.7618 4.6258
angles: 90.00 90.00 120.00
Space group P321 (No. 150)
One atom of each set of equivalent atoms:
Li (0.0000, 0.6898, 0.0000) [3 per cell]
Ti (0.0000, 0.3506, 0.5000) [3 per cell]
Ni (0.0000, 0.0000, 0.5000) [1 per cell]
Ni (0.3333, 0.6667, 0.9908) [2 per cell]
F (0.1043, 0.2270, 0.7289) [6 per cell]
F (0.1099, 0.5667, 0.7566) [6 per cell]
F (0.2046, 0.4458, 0.2401) [6 per cell]

Principal peaks in the range 2θ = 10–90°, by angle:
2θ/deg	I/Imax	index
20.27	83.1	1 1 0
22.51	82.5	0 1 1
28.05	94.5	1 1 1
30.47	47.1	2 0 1
36.88	43.2	1 2 1
40.65	84.4	0 3 1
53.70	100.0	0 3 2
63.73	43.5	3 3 0

Li3V4P2O8F9: theoretical XRD peak list (Cu Kα (λ = 1.5418 Å)), based on a cell relaxed with GGA+U.
Lines closer than 0.1° are merged.

Crystal structure
abc: 7.0460 14.5903 7.4206
angles: 90.00 104.50 90.00
Space group P2_1/m (No. 11)
One atom of each set of equivalent atoms:
Li (0.0195, 0.2500, 0.0596) [2 per cell]
Li (0.1840, 0.0507, 0.2268) [4 per cell]
V (0.0365, 0.7500, 0.5607) [2 per cell]
V (0.3141, 0.1194, 0.8242) [4 per cell]
V (0.4824, 0.2500, 0.4492) [2 per cell]
P (0.3362, 0.6000, 0.7978) [4 per cell]
O (0.1396, 0.6556, 0.7564) [4 per cell]
O (0.2879, 0.5040, 0.7116) [4 per cell]
O (0.4211, 0.5960, 0.0103) [4 per cell]
O (0.4924, 0.6454, 0.7102) [4 per cell]
F (0.0765, 0.1543, 0.6205) [4 per cell]
F (0.1373, 0.0882, 0.9881) [4 per cell]
F (0.1906, 0.2500, 0.3138) [2 per cell]
F (0.2393, 0.7500, 0.4208) [2 per cell]
F (0.2897, 0.2500, 0.9203) [2 per cell]
F (0.4555, 0.1585, 0.6370) [4 per cell]

Principal peaks in the range 2θ = 10–90°, by angle:
2θ/deg	I/Imax	index
12.13	51.2	0 2 0
12.98	25.3	1 0 0
15.51	100.0	1 0 -1
17.32	76.2	0 2 1
20.07	33.9	1 0 1
27.42	29.2	0 4 1
29.05	25.6	1 4 -1
31.75	30.6	2 0 1

Li2PWO4F: theoretical XRD peak list (Cu Kα (λ = 1.5418 Å)), based on a cell relaxed with GGA+U.
Lines closer than 0.1° are merged.

Crystal structure
abc: 5.3148 5.9666 7.7603
angles: 73.45 75.91 82.65
Space group P1 (No. 1)
One atom of each set of equivalent atoms:
Li (0.0000, 0.0000, 0.0000) [1 per cell]
Li (0.1390, 0.0487, 0.5388) [1 per cell]
Li (0.2908, 0.6711, 0.8518) [1 per cell]
Li (0.5740, 0.1163, 0.2432) [1 per cell]
P (0.0625, 0.4201, 0.1603) [1 per cell]
P (0.7747, 0.7712, 0.5860) [1 per cell]
W (0.4189, 0.5416, 0.3903) [1 per cell]
W (0.4950, 0.2431, 0.7637) [1 per cell]
O (0.0678, 0.7220, 0.5111) [1 per cell]
O (0.1196, 0.6791, 0.1036) [1 per cell]
O (0.1559, 0.3222, 0.9858) [1 per cell]
O (0.2289, 0.2877, 0.3080) [1 per cell]
O (0.6115, 0.8178, 0.4347) [1 per cell]
O (0.6570, 0.5715, 0.7558) [1 per cell]
O (0.7700, 0.0029, 0.6411) [1 per cell]
O (0.7721, 0.3731, 0.2427) [1 per cell]
F (0.2365, 0.9894, 0.7694) [1 per cell]
F (0.6465, 0.0523, 0.0177) [1 per cell]

Principal peaks in the range 2θ = 10–90°, by angle:
2θ/deg	I/Imax	index
12.19	32.6	0 0 1
15.52	40.1	0 1 0
17.04	55.8	0 1 1
17.24	70.2	1 0 0
21.54	37.4	1 1 1
22.20	40.0	0 1 -1
26.83	100.0	-1 1 1
32.76	29.4	1 2 1

Li2PWO4F: theoretical XRD peak list (Cu Kα (λ = 1.5418 Å)), based on a cell relaxed with GGA+U.
Lines closer than 0.1° are merged.

Crystal structure
abc: 5.2808 6.0307 7.6497
angles: 73.95 76.35 83.19
Space group P1 (No. 1)
One atom of each set of equivalent atoms:
Li (0.0000, 0.0000, 0.0000) [1 per cell]
Li (0.1097, 0.1106, 0.5448) [1 per cell]
Li (0.2432, 0.6800, 0.8088) [1 per cell]
Li (0.5685, 0.1181, 0.2457) [1 per cell]
P (0.0587, 0.4289, 0.1473) [1 per cell]
P (0.7813, 0.7725, 0.5869) [1 per cell]
W (0.4238, 0.5495, 0.3833) [1 per cell]
W (0.4961, 0.2489, 0.7606) [1 per cell]
O (0.0799, 0.7141, 0.5358) [1 per cell]
O (0.1160, 0.6840, 0.0851) [1 per cell]
O (0.1502, 0.3233, 0.9753) [1 per cell]
O (0.2236, 0.3024, 0.2996) [1 per cell]
O (0.6423, 0.5824, 0.7541) [1 per cell]
O (0.6442, 0.8128, 0.4197) [1 per cell]
O (0.7673, 0.0068, 0.6381) [1 per cell]
O (0.7672, 0.3818, 0.2308) [1 per cell]
F (0.2358, 0.0000, 0.7639) [1 per cell]
F (0.6438, 0.0579, 0.0154) [1 per cell]

Principal peaks in the range 2θ = 10–90°, by angle:
2θ/deg	I/Imax	index
15.31	63.1	0 1 0
17.02	82.8	0 1 1
17.31	100.0	1 0 0
21.68	57.8	1 1 1
22.07	60.5	0 1 -1
26.80	90.6	-1 1 1
27.10	72.7	1 0 2
32.60	79.8	1 2 1